# NaLiBeF4
Calculated powder X-ray diffraction pattern, a wavelength of 1.5418 Å. Input: a cell relaxed with GGA-PBE.

Atomic structure:
Cell: 10.956 6.285 4.678 Å, 90.00 90.00 90.00°
Positions (direct):
Na 0.223 0.250 0.023
Na 0.277 0.750 0.523
Na 0.723 0.250 0.477
Na 0.777 0.750 0.977
Li 0.000 0.000 0.500
Li 0.000 0.500 0.500
Li 0.500 0.000 0.000
Li 0.500 0.500 0.000
Be 0.081 0.750 0.096
Be 0.419 0.250 0.596
Be 0.581 0.750 0.404
Be 0.919 0.250 0.904
F 0.049 0.250 0.753
F 0.077 0.750 0.765
F 0.146 0.549 0.224
F 0.146 0.951 0.224
F 0.354 0.049 0.724
F 0.354 0.451 0.724
F 0.423 0.250 0.265
F 0.451 0.750 0.253
F 0.549 0.250 0.747
F 0.577 0.750 0.735
F 0.646 0.549 0.276
F 0.646 0.951 0.276
F 0.854 0.049 0.776
F 0.854 0.451 0.776
F 0.923 0.250 0.235
F 0.951 0.750 0.247

Peak list (8 most intense, 2θ = 10–90°, most intense first)
2θ (°)  I (rel.)  index
38.2  100  2 2 1
38.1  53  4 0 1
25.1  51  1 1 1
51.5  48  2 2 2
34.3  39  3 1 1
28.4  22  0 2 0
58.5  20  6 2 0
51.4  19  4 0 2